Entry 1:
# Ce4Os2I5
Computed powder XRD pattern, a wavelength of 1.5418 Å. Input: a DFT-relaxed cell (PBE, Alexandria).
Peak positions follow from Bragg's law for the DFT cell and can differ from measured ones.

Largest 6 diffraction maxima, most intense first, 2θ from 5° to 70°:
Position (°2θ)  I/Imax
10.24  100
29.67  61
33.76  50
36.74  48
21.46  45
25.96  41

Atomic structure:
```
Ce4Os2I5
1.0
11.345 -2.105 0.000
11.345 2.105 0.000
-0.700 0.000 8.642
Ce Os I
4 2 5
Direct
0.014 0.014 0.200 Ce
0.347 0.347 0.940 Ce
0.653 0.653 0.060 Ce
0.986 0.986 0.800 Ce
0.083 0.083 0.941 Os
0.917 0.917 0.059 Os
0.151 0.151 0.349 I
0.204 0.204 0.808 I
0.500 0.500 0.500 I
0.796 0.796 0.192 I
0.849 0.849 0.651 I
```

=====

Entry 2:
# Nd4SiSCl2
Computed powder XRD pattern, a wavelength of 1.5418 Å. Input: a DFT-relaxed cell (PBE, Alexandria).
Peak positions follow from Bragg's law for the DFT cell and can differ from measured ones.

Largest 6 diffraction maxima, most intense first, 2θ from 5° to 70°:
Position (°2θ)  I/Imax
30.18  100
26.05  38
43.79  25
43.20  23
42.62  21
26.52  18

Atomic structure:
```
Nd4SiSCl2
1.0
7.132 0.000 0.000
0.000 4.190 0.000
-2.464 0.000 6.957
Nd Si S Cl
4 1 1 2
Direct
0.235 0.000 0.214 Nd
0.256 0.500 0.781 Nd
0.744 0.500 0.219 Nd
0.765 0.000 0.786 Nd
0.500 0.000 0.000 Si
0.000 0.500 0.000 S
0.000 0.000 0.500 Cl
0.500 0.500 0.500 Cl
```

=====

Entry 3:
# RbAcHg2O4
Computed powder XRD pattern, a wavelength of 1.5418 Å. Input: a DFT-relaxed cell (PBE, Alexandria).
Peak positions follow from Bragg's law for the DFT cell and can differ from measured ones.

Largest 6 diffraction maxima, most intense first, 2θ from 5° to 70°:
Position (°2θ)  I/Imax
29.93  100
26.15  37
38.54  33
27.81  29
50.54  28
48.55  27

Atomic structure:
```
RbAcHg2O4
1.0
-3.208 3.408 3.881
3.208 -3.408 3.881
3.208 3.408 -3.881
Rb Ac Hg O
1 1 2 4
Direct
0.000 0.000 0.000 Rb
0.500 0.500 0.000 Ac
0.292 0.792 0.500 Hg
0.708 0.208 0.500 Hg
0.137 0.068 0.596 O
0.472 0.541 0.404 O
0.528 0.932 0.069 O
0.863 0.459 0.931 O
```

=====

Entry 4:
# CaPuSb2
Computed powder XRD pattern, a wavelength of 1.5418 Å. Input: a DFT-relaxed cell (PBE, Alexandria).
Peak positions follow from Bragg's law for the DFT cell and can differ from measured ones.

Largest 6 diffraction maxima, most intense first, 2θ from 5° to 70°:
Position (°2θ)  I/Imax
28.36  100
40.29  76
15.70  60
28.01  50
50.00  41
40.54  38

Atomic structure:
```
CaPuSb2
1.0
-3.147 3.147 6.371
3.147 -3.147 6.371
3.147 3.147 -6.371
Ca Pu Sb
2 2 4
Direct
0.375 0.625 0.750 Ca
0.625 0.375 0.250 Ca
0.125 0.875 0.250 Pu
0.875 0.125 0.750 Pu
0.116 0.366 0.750 Sb
0.366 0.116 0.250 Sb
0.634 0.884 0.750 Sb
0.884 0.634 0.250 Sb
```

=====

Entry 5:
# Mg4IrAu2
Computed powder XRD pattern, a wavelength of 1.5418 Å. Input: a DFT-relaxed cell (PBE, Alexandria).
Peak positions follow from Bragg's law for the DFT cell and can differ from measured ones.

Largest 6 diffraction maxima, most intense first, 2θ from 5° to 70°:
Position (°2θ)  I/Imax
27.87  100
39.76  81
39.88  80
12.00  38
24.07  35
57.58  28

Atomic structure:
```
Mg4IrAu2
1.0
2.267 1.309 7.372
-2.267 1.309 7.372
0.000 -2.618 7.372
Mg Ir Au
4 1 2
Direct
0.124 0.124 0.124 Mg
0.374 0.374 0.374 Mg
0.626 0.626 0.626 Mg
0.876 0.876 0.876 Mg
0.500 0.500 0.500 Ir
0.249 0.249 0.249 Au
0.751 0.751 0.751 Au
```

=====

Entry 6:
# CdHg2F8
Computed powder XRD pattern, a wavelength of 1.5418 Å. Input: a DFT-relaxed cell (PBE, Alexandria).
Peak positions follow from Bragg's law for the DFT cell and can differ from measured ones.

Largest 6 diffraction maxima, most intense first, 2θ from 5° to 70°:
Position (°2θ)  I/Imax
24.52  100
24.87  96
23.28  70
23.64  67
34.57  48
28.87  35

Atomic structure:
```
CdHg2F8
1.0
5.043 0.000 0.000
0.029 6.167 0.000
0.244 2.129 5.916
Cd Hg F
1 2 8
Direct
0.000 0.000 0.000 Cd
0.251 0.364 0.366 Hg
0.749 0.636 0.634 Hg
0.225 0.665 0.082 F
0.226 0.073 0.662 F
0.249 0.572 0.574 F
0.287 0.162 0.157 F
0.713 0.838 0.843 F
0.751 0.428 0.426 F
0.774 0.927 0.338 F
0.775 0.335 0.918 F
```

=====

Entry 7:
# RbSrIO6
Computed powder XRD pattern, a wavelength of 1.5418 Å. Input: a DFT-relaxed cell (PBE, Alexandria).
Peak positions follow from Bragg's law for the DFT cell and can differ from measured ones.

Largest 6 diffraction maxima, most intense first, 2θ from 5° to 70°:
Position (°2θ)  I/Imax
24.42  100
28.95  57
46.86  45
38.22  30
48.65  30
17.79  19

Atomic structure:
```
RbSrIO6
1.0
6.168 0.000 0.000
-3.084 5.342 0.000
0.000 0.000 4.987
Rb Sr I O
1 1 1 6
Direct
0.000 0.000 0.000 Rb
0.333 0.667 0.500 Sr
0.667 0.333 0.000 I
0.440 0.062 0.783 O
0.440 0.379 0.217 O
0.621 0.062 0.217 O
0.621 0.560 0.783 O
0.938 0.379 0.783 O
0.938 0.560 0.217 O
```

=====

Entry 8:
# AcPm2NdHo4
Computed powder XRD pattern, a wavelength of 1.5418 Å. Input: a DFT-relaxed cell (PBE, Alexandria).
Peak positions follow from Bragg's law for the DFT cell and can differ from measured ones.

Largest 6 diffraction maxima, most intense first, 2θ from 5° to 70°:
Position (°2θ)  I/Imax
29.80  100
40.29  88
26.49  45
60.11  27
63.39  23
52.89  20

Atomic structure:
```
AcPm2NdHo4
1.0
-3.463 5.995 6.730
3.463 -5.995 6.730
3.463 5.995 -6.730
Ac Pm Nd Ho
2 4 2 8
Direct
0.000 0.000 0.000 Ac
0.500 0.000 0.500 Ac
0.000 0.500 0.500 Pm
0.500 0.000 0.000 Pm
0.500 0.500 0.000 Pm
0.500 0.500 0.500 Pm
0.000 0.000 0.500 Nd
0.000 0.500 0.000 Nd
0.243 0.742 0.501 Ho
0.251 0.264 0.513 Ho
0.251 0.738 0.987 Ho
0.259 0.258 0.001 Ho
0.741 0.742 0.999 Ho
0.749 0.262 0.013 Ho
0.749 0.736 0.487 Ho
0.757 0.258 0.499 Ho
```

=====

Entry 9:
# Tb3Al5Co2
Computed powder XRD pattern, a wavelength of 1.5418 Å. Input: a DFT-relaxed cell (PBE, Alexandria).
Peak positions follow from Bragg's law for the DFT cell and can differ from measured ones.

Largest 6 diffraction maxima, most intense first, 2θ from 5° to 70°:
Position (°2θ)  I/Imax
36.94  100
21.95  65
29.34  56
44.78  46
34.42  40
60.54  38

Atomic structure:
```
Tb3Al5Co2
1.0
9.627 0.000 0.000
0.000 9.627 0.000
0.000 0.000 4.049
Tb Al Co
6 10 4
Direct
0.000 0.000 0.000 Tb
0.177 0.323 0.000 Tb
0.323 0.823 0.000 Tb
0.500 0.500 0.000 Tb
0.677 0.177 0.000 Tb
0.823 0.677 0.000 Tb
0.000 0.500 0.500 Al
0.068 0.770 0.500 Al
0.230 0.068 0.500 Al
0.270 0.568 0.500 Al
0.432 0.270 0.500 Al
0.500 0.000 0.500 Al
0.568 0.730 0.500 Al
0.730 0.432 0.500 Al
0.770 0.932 0.500 Al
0.932 0.230 0.500 Al
0.115 0.615 0.000 Co
0.385 0.115 0.000 Co
0.615 0.885 0.000 Co
0.885 0.385 0.000 Co
```

=====

Entry 10:
# CaSiHSe2
Computed powder XRD pattern, a wavelength of 1.5418 Å. Input: a DFT-relaxed cell (PBE, Alexandria).
Peak positions follow from Bragg's law for the DFT cell and can differ from measured ones.

Largest 6 diffraction maxima, most intense first, 2θ from 5° to 70°:
Position (°2θ)  I/Imax
36.14  100
34.01  70
22.58  67
34.38  66
43.03  47
59.93  42

Atomic structure:
```
CaSiHSe2
1.0
3.549 0.000 0.000
0.000 6.964 0.000
0.000 0.000 3.939
Ca Si H Se
1 1 1 2
Direct
0.000 0.000 0.000 Ca
0.000 0.500 0.456 Si
0.000 0.500 0.063 H
0.500 0.237 0.502 Se
0.500 0.763 0.502 Se
```

=====

Entry 11:
# Er2Si3Rh2
Computed powder XRD pattern, a wavelength of 1.5418 Å. Input: a DFT-relaxed cell (PBE, Alexandria).
Peak positions follow from Bragg's law for the DFT cell and can differ from measured ones.

Largest 6 diffraction maxima, most intense first, 2θ from 5° to 70°:
Position (°2θ)  I/Imax
36.46  100
34.56  94
44.37  46
59.23  37
45.10  36
37.59  35

Atomic structure:
```
Er2Si3Rh2
1.0
2.010 -8.732 0.000
2.010 8.732 0.000
0.000 0.000 6.929
Er Si Rh
4 6 4
Direct
0.056 0.944 0.750 Er
0.157 0.843 0.250 Er
0.843 0.157 0.750 Er
0.944 0.056 0.250 Er
0.224 0.776 0.750 Si
0.439 0.561 0.572 Si
0.439 0.561 0.928 Si
0.561 0.439 0.072 Si
0.561 0.439 0.428 Si
0.776 0.224 0.250 Si
0.309 0.691 0.048 Rh
0.309 0.691 0.452 Rh
0.691 0.309 0.548 Rh
0.691 0.309 0.952 Rh
```

=====

Entry 12:
# BaMn2Pb
Computed powder XRD pattern, a wavelength of 1.5418 Å. Input: a DFT-relaxed cell (PBE, Alexandria).
Peak positions follow from Bragg's law for the DFT cell and can differ from measured ones.

Largest 6 diffraction maxima, most intense first, 2θ from 5° to 70°:
Position (°2θ)  I/Imax
29.84  100
37.88  83
23.91  83
49.53  59
15.21  37
30.70  37

Atomic structure:
```
BaMn2Pb
1.0
4.117 -2.373 0.000
4.117 2.373 0.000
-2.734 0.000 5.824
Ba Mn Pb
1 2 1
Direct
0.000 0.000 0.000 Ba
0.195 0.195 0.585 Mn
0.805 0.805 0.415 Mn
0.500 0.500 0.500 Pb
```

=====

What is the formula in the sixth record?
CdHg2F8

=====

Number 4 is which compound?
CaPuSb2